Starting from DFT lattice parameters and positions (GGA-PBE), the XRD peak list of Ho3Mg9Ag2 was simulated for a wavelength of 1.5418 Å.
Peak positions follow from Bragg's law for the DFT cell and can differ from measured ones.

Cell and atoms:
```
data_Ho3Mg9Ag2
_cell_length_a 8.616
_cell_length_b 8.616
_cell_length_c 8.616
_cell_angle_alpha 146.83
_cell_angle_beta 100.57
_cell_angle_gamma 88.83
_symmetry_space_group_name_H-M 'P 1'
_symmetry_Int_Tables_number 1
_symmetry_space_group_name_Hall 'P 1'
loop_
_atom_site_label
_atom_site_type_symbol
_atom_site_fract_x
_atom_site_fract_y
_atom_site_fract_z
Ho1 Ho 0.000 0.000 0.000
Ho2 Ho 0.287 0.287 0.000
Ho3 Ho 0.713 0.713 0.000
Mg1 Mg 0.000 0.368 0.632
Mg2 Mg 0.000 0.632 0.368
Mg3 Mg 0.138 0.863 0.276
Mg4 Mg 0.264 0.632 0.632
Mg5 Mg 0.413 0.137 0.276
Mg6 Mg 0.500 0.000 0.500
Mg7 Mg 0.587 0.863 0.724
Mg8 Mg 0.736 0.368 0.368
Mg9 Mg 0.862 0.137 0.724
Ag1 Ag 0.348 0.500 0.848
Ag2 Ag 0.652 0.500 0.152
```

Top 8 peaks for 2θ = 10–80°, most intense first:
| two_theta | d (Å) | I_rel |
| --- | --- | --- |
| 32.74 | 2.735 | 100 |
| 19.77 | 4.491 | 93 |
| 35.36 | 2.539 | 51 |
| 36.53 | 2.460 | 35 |
| 16.10 | 5.506 | 31 |
| 33.77 | 2.654 | 29 |
| 65.82 | 1.419 | 24 |
| 38.17 | 2.358 | 23 |